(1)
# CrNi8H4
Calculated powder diffractogram, Cu Ka. Input: DFT lattice parameters and positions (PBE).
Kinematic intensities with the Lorentz-polarization factor, no thermal factor.

Crystal structure
a b c (Å): 6.453 6.453 8.602
angles (deg): 128.80 128.80 22.78
Element x y z (fractional)
Cr1 0.000 0.000 0.000
Ni1 0.036 0.036 0.744
Ni2 0.302 0.302 0.925
Ni3 0.338 0.338 0.677
Ni4 0.370 0.370 0.407
Ni5 0.630 0.630 0.593
Ni6 0.662 0.662 0.323
Ni7 0.698 0.698 0.075
Ni8 0.964 0.964 0.256
H1 0.146 0.146 0.468
H2 0.340 0.340 0.174
H3 0.660 0.660 0.826
H4 0.854 0.854 0.532

Peak list (12 most intense, 5° ≤ 2θ ≤ 70°, low angle first)
2θ = 40.93°, I 10; 2θ = 41.09°, I 22; 2θ = 41.69°, I 6; 2θ = 42.01°, I 12; 2θ = 43.24°, I 50; 2θ = 45.25°, I 100; 2θ = 47.35°, I 26; 2θ = 47.78°, I 50; 2θ = 53.56°, I 5; 2θ = 56.76°, I 5; 2θ = 57.27°, I 11; 2θ = 64.93°, I 4

(2)
# CrNi3H
Calculated powder diffractogram, Cu Ka. Input: DFT lattice parameters and positions (PBE).
Kinematic intensities with the Lorentz-polarization factor, no thermal factor.

Crystal structure
a b c (Å): 4.172 5.042 4.448
angles (deg): 90.00 90.29 90.00
Element x y z (fractional)
Cr1 0.240 0.250 0.352
Cr2 0.760 0.750 0.648
Ni1 0.244 0.001 0.834
Ni2 0.244 0.499 0.834
Ni3 0.249 0.750 0.343
Ni4 0.751 0.250 0.657
Ni5 0.756 0.501 0.166
Ni6 0.756 0.999 0.166
H1 0.491 0.750 0.008
H2 0.509 0.250 0.992

Peak list (12 most intense, 5° ≤ 2θ ≤ 70°, low angle first)
2θ = 26.73°, I 1; 2θ = 40.57°, I 18; 2θ = 41.16°, I 56; 2θ = 43.38°, I 83; 2θ = 46.16°, I 59; 2θ = 46.36°, I 54; 2θ = 46.75°, I 91; 2θ = 46.85°, I 100; 2θ = 60.71°, I 4; 2θ = 61.06°, I 7; 2θ = 61.25°, I 19; 2θ = 61.42°, I 13

(3)
# CrNi5H7
Calculated powder diffractogram, Cu Ka. Input: DFT lattice parameters and positions (PBE).
Kinematic intensities with the Lorentz-polarization factor, no thermal factor.

Crystal structure
a b c (Å): 2.648 14.562 4.537
angles (deg): 90.00 106.93 90.00
Element x y z (fractional)
Cr1 0.196 0.250 0.387
Cr2 0.804 0.750 0.613
Ni1 0.000 0.000 0.000
Ni2 0.000 0.500 0.000
Ni3 0.273 0.580 0.547
Ni4 0.273 0.920 0.547
Ni5 0.457 0.153 0.912
Ni6 0.457 0.347 0.912
Ni7 0.543 0.653 0.088
Ni8 0.543 0.847 0.088
Ni9 0.727 0.080 0.453
Ni10 0.727 0.420 0.453
H1 0.090 0.114 0.176
H2 0.090 0.386 0.176
H3 0.181 0.682 0.364
H4 0.181 0.818 0.364
H5 0.364 0.035 0.728
H6 0.364 0.465 0.728
H7 0.448 0.750 0.901
H8 0.552 0.250 0.099
H9 0.636 0.535 0.272
H10 0.636 0.965 0.272
H11 0.819 0.182 0.636
H12 0.819 0.318 0.636
H13 0.910 0.614 0.824
H14 0.910 0.886 0.824

Peak list (12 most intense, 5° ≤ 2θ ≤ 70°, low angle first)
2θ = 12.16°, I 14; 2θ = 37.18°, I 22; 2θ = 37.59°, I 17; 2θ = 40.15°, I 64; 2θ = 41.61°, I 29; 2θ = 42.09°, I 32; 2θ = 42.68°, I 100; 2θ = 43.52°, I 69; 2θ = 46.92°, I 18; 2θ = 48.23°, I 40; 2θ = 50.35°, I 34; 2θ = 68.85°, I 17

(4)
# NpCrNi2H8
Calculated powder diffractogram, Cu Ka. Input: DFT lattice parameters and positions (PBE).
Kinematic intensities with the Lorentz-polarization factor, no thermal factor.

Crystal structure
a b c (Å): 5.899 5.899 5.899
angles (deg): 44.24 44.24 44.24
Element x y z (fractional)
Np1 0.000 0.000 0.000
Cr1 0.500 0.500 0.500
Ni1 0.215 0.215 0.215
Ni2 0.785 0.785 0.785
H1 0.136 0.400 0.798
H2 0.202 0.864 0.600
H3 0.317 0.317 0.317
H4 0.400 0.798 0.136
H5 0.600 0.202 0.864
H6 0.683 0.683 0.683
H7 0.798 0.136 0.400
H8 0.864 0.600 0.202

Peak list (12 most intense, 5° ≤ 2θ ≤ 70°, low angle first)
2θ = 23.79°, I 65; 2θ = 25.72°, I 35; 2θ = 32.35°, I 100; 2θ = 36.61°, I 44; 2θ = 40.62°, I 68; 2θ = 51.66°, I 20; 2θ = 52.85°, I 25; 2θ = 53.80°, I 23; 2θ = 55.83°, I 14; 2θ = 63.15°, I 14; 2θ = 67.68°, I 22; 2θ = 68.72°, I 22